1.
# YTiCo
Computed X-ray powder pattern, Cu Kα (λ = 1.5418 Å). Input: DFT lattice parameters and positions (GGA-PBE).
Lines closer than 0.1° are merged.

Crystal structure
```
data_YTiCo
_space_group_name_H-M_alt 'P 1'
_space_group_IT_number 1
_cell_length_a 4.2643
_cell_length_b 4.2643
_cell_length_c 6.3179
_cell_angle_alpha 90.00
_cell_angle_beta 90.00
_cell_angle_gamma 90.00
loop_
_space_group_symop_operation_xyz
'x,y,z'
loop_
_atom_site_label
_atom_site_type_symbol
_atom_site_fract_x
_atom_site_fract_y
_atom_site_fract_z
_atom_site_occupancy
Y1 Y 0.2500 0.2500 0.1360 1
Y2 Y 0.7500 0.7500 0.8640 1
Ti1 Ti 0.2500 0.7500 0.5000 1
Ti2 Ti 0.7500 0.2500 0.5000 1
Co1 Co 0.2500 0.2500 0.6907 1
Co2 Co 0.7500 0.7500 0.3093 1
```

Main lines, sorted by position (10° ≤ 2θ ≤ 90°):
| 2theta | I/Imax |
| --- | --- |
| 29.6 | 51 |
| 32.9 | 50 |
| 35.4 | 100 |
| 41.4 | 40 |
| 42.4 | 68 |
| 48.2 | 14 |
| 56.4 | 49 |
| 61.5 | 21 |
| 66.9 | 14 |
| 88.2 | 13 |

2.
# Ba3CeAl2O8
Computed X-ray powder pattern, Cu Kα (λ = 1.5418 Å). Input: DFT lattice parameters and positions (GGA-PBE).
Lines closer than 0.1° are merged.

Crystal structure
```
data_Ba3CeAl2O8
_space_group_name_H-M_alt 'P 1'
_space_group_IT_number 1
_cell_length_a 5.9575
_cell_length_b 5.9575
_cell_length_c 7.6032
_cell_angle_alpha 90.00
_cell_angle_beta 90.00
_cell_angle_gamma 120.00
loop_
_space_group_symop_operation_xyz
'x,y,z'
loop_
_atom_site_label
_atom_site_type_symbol
_atom_site_fract_x
_atom_site_fract_y
_atom_site_fract_z
_atom_site_occupancy
Ba1 Ba 0.0000 0.0000 0.0000 1
Ba2 Ba 0.3333 0.6667 0.6784 1
Ba3 Ba 0.6667 0.3333 0.3216 1
Ce1 Ce 0.0000 0.0000 0.5000 1
Al1 Al 0.3333 0.6667 0.2222 1
Al2 Al 0.6667 0.3333 0.7778 1
O1 O 0.1734 0.3469 0.3198 1
O2 O 0.1734 0.8266 0.3198 1
O3 O 0.3333 0.6667 0.9960 1
O4 O 0.3469 0.1734 0.6802 1
O5 O 0.6531 0.8266 0.3198 1
O6 O 0.6667 0.3333 0.0040 1
O7 O 0.8266 0.1734 0.6802 1
O8 O 0.8266 0.6531 0.6802 1
```

Main lines, sorted by position (10° ≤ 2θ ≤ 90°):
| 2theta | I/Imax |
| --- | --- |
| 20.8 | 23 |
| 29.2 | 95 |
| 30.0 | 100 |
| 36.8 | 19 |
| 42.3 | 49 |
| 51.2 | 15 |
| 52.8 | 36 |
| 53.3 | 20 |
| 62.3 | 17 |
| 70.3 | 16 |

3.
# Hg2H2I3
Computed X-ray powder pattern, Cu Kα (λ = 1.5418 Å). Input: DFT lattice parameters and positions (GGA-PBE).
Lines closer than 0.1° are merged.

Crystal structure
```
data_Hg2H2I3
_space_group_name_H-M_alt 'P 1'
_space_group_IT_number 1
_cell_length_a 4.8176
_cell_length_b 4.9458
_cell_length_c 11.1962
_cell_angle_alpha 80.45
_cell_angle_beta 88.33
_cell_angle_gamma 63.13
loop_
_space_group_symop_operation_xyz
'x,y,z'
loop_
_atom_site_label
_atom_site_type_symbol
_atom_site_fract_x
_atom_site_fract_y
_atom_site_fract_z
_atom_site_occupancy
Hg1 Hg 0.0424 0.1546 0.1729 1
Hg2 Hg 0.9576 0.8454 0.8271 1
H1 H 0.4087 0.9172 0.2758 1
H2 H 0.5913 0.0828 0.7242 1
I1 I 0.2426 0.3039 0.6241 1
I2 I 0.5000 0.5000 0.0000 1
I3 I 0.7574 0.6961 0.3759 1
```

Main lines, sorted by position (10° ≤ 2θ ≤ 90°):
| 2theta | I/Imax |
| --- | --- |
| 20.7 | 9 |
| 23.8 | 100 |
| 27.0 | 30 |
| 31.2 | 21 |
| 34.6 | 13 |
| 35.4 | 15 |
| 36.5 | 17 |
| 37.1 | 16 |
| 38.0 | 12 |
| 48.7 | 12 |

4.
# CuTePb2
Computed X-ray powder pattern, Cu Kα (λ = 1.5418 Å). Input: DFT lattice parameters and positions (GGA-PBE).
Lines closer than 0.1° are merged.

Crystal structure
```
data_CuTePb2
_space_group_name_H-M_alt 'P 1'
_space_group_IT_number 1
_cell_length_a 5.7009
_cell_length_b 5.7009
_cell_length_c 5.9287
_cell_angle_alpha 115.93
_cell_angle_beta 115.93
_cell_angle_gamma 40.39
loop_
_space_group_symop_operation_xyz
'x,y,z'
loop_
_atom_site_label
_atom_site_type_symbol
_atom_site_fract_x
_atom_site_fract_y
_atom_site_fract_z
_atom_site_occupancy
Cu1 Cu 0.0000 0.0000 0.0000 1
Te1 Te 0.3589 0.3589 0.6918 1
Pb1 Pb 0.5429 0.5429 0.3838 1
Pb2 Pb 0.7250 0.7250 0.0409 1
```

Main lines, sorted by position (10° ≤ 2θ ≤ 90°):
| 2theta | I/Imax |
| --- | --- |
| 24.5 | 75 |
| 30.3 | 66 |
| 30.8 | 54 |
| 32.4 | 100 |
| 33.5 | 61 |
| 34.1 | 89 |
| 38.6 | 45 |
| 40.1 | 34 |
| 46.1 | 55 |
| 58.2 | 25 |

5.
# DyAl2Fe2Ge
Computed X-ray powder pattern, Cu Kα (λ = 1.5418 Å). Input: DFT lattice parameters and positions (GGA-PBE).
Lines closer than 0.1° are merged.

Crystal structure
```
data_DyAl2Fe2Ge
_space_group_name_H-M_alt 'P 1'
_space_group_IT_number 1
_cell_length_a 4.3810
_cell_length_b 4.3810
_cell_length_c 5.5611
_cell_angle_alpha 90.00
_cell_angle_beta 90.00
_cell_angle_gamma 90.00
loop_
_space_group_symop_operation_xyz
'x,y,z'
loop_
_atom_site_label
_atom_site_type_symbol
_atom_site_fract_x
_atom_site_fract_y
_atom_site_fract_z
_atom_site_occupancy
Dy1 Dy 0.0000 0.0000 0.0000 1
Al1 Al 0.5000 0.5000 0.2470 1
Al2 Al 0.5000 0.5000 0.7530 1
Fe1 Fe 0.0000 0.5000 0.5000 1
Fe2 Fe 0.5000 0.0000 0.5000 1
Ge1 Ge 0.0000 0.0000 0.5000 1
```

Main lines, sorted by position (10° ≤ 2θ ≤ 90°):
| 2theta | I/Imax |
| --- | --- |
| 20.3 | 97 |
| 28.8 | 37 |
| 32.2 | 43 |
| 33.1 | 74 |
| 38.3 | 100 |
| 41.2 | 81 |
| 46.3 | 23 |
| 53.2 | 40 |
| 57.5 | 61 |
| 59.7 | 26 |

6.
# Ti3AlS4
Computed X-ray powder pattern, Cu Kα (λ = 1.5418 Å). Input: DFT lattice parameters and positions (GGA-PBE).
Lines closer than 0.1° are merged.

Crystal structure
```
data_Ti3AlS4
_space_group_name_H-M_alt 'P 1'
_space_group_IT_number 1
_cell_length_a 7.5407
_cell_length_b 6.6340
_cell_length_c 6.1586
_cell_angle_alpha 90.00
_cell_angle_beta 90.00
_cell_angle_gamma 90.00
loop_
_space_group_symop_operation_xyz
'x,y,z'
loop_
_atom_site_label
_atom_site_type_symbol
_atom_site_fract_x
_atom_site_fract_y
_atom_site_fract_z
_atom_site_occupancy
Ti1 Ti 0.0000 0.2479 0.0000 1
Ti2 Ti 0.2176 0.8903 0.0685 1
Ti3 Ti 0.2824 0.1097 0.5685 1
Ti4 Ti 0.5000 0.7521 0.5000 1
Ti5 Ti 0.7176 0.1097 0.5685 1
Ti6 Ti 0.7824 0.8903 0.0685 1
Al1 Al 0.0000 0.6320 0.5125 1
Al2 Al 0.5000 0.3680 0.0125 1
S1 S 0.0000 0.2972 0.6230 1
S2 S 0.0000 0.6233 0.1481 1
S3 S 0.2280 0.7775 0.6936 1
S4 S 0.2720 0.2225 0.1936 1
S5 S 0.5000 0.3767 0.6481 1
S6 S 0.5000 0.7028 0.1230 1
S7 S 0.7280 0.2225 0.1936 1
S8 S 0.7720 0.7775 0.6936 1
```

Main lines, sorted by position (10° ≤ 2θ ≤ 90°):
| 2theta | I/Imax |
| --- | --- |
| 26.9 | 46 |
| 27.2 | 100 |
| 29.0 | 100 |
| 30.9 | 77 |
| 39.0 | 37 |
| 40.2 | 42 |
| 43.5 | 36 |
| 48.3 | 37 |
| 52.4 | 30 |
| 52.6 | 58 |

7.
# LiMo6Se6S2
Computed X-ray powder pattern, Cu Kα (λ = 1.5418 Å). Input: DFT lattice parameters and positions (GGA-PBE).
Lines closer than 0.1° are merged.

Crystal structure
```
data_LiMo6Se6S2
_space_group_name_H-M_alt 'P 1'
_space_group_IT_number 1
_cell_length_a 6.6910
_cell_length_b 6.7207
_cell_length_c 6.7621
_cell_angle_alpha 91.10
_cell_angle_beta 93.33
_cell_angle_gamma 93.39
loop_
_space_group_symop_operation_xyz
'x,y,z'
loop_
_atom_site_label
_atom_site_type_symbol
_atom_site_fract_x
_atom_site_fract_y
_atom_site_fract_z
_atom_site_occupancy
Li1 Li 0.0000 0.0000 0.0000 1
Mo1 Mo 0.0875 0.5611 0.5098 1
Mo2 Mo 0.2752 0.2323 0.6463 1
Mo3 Mo 0.3188 0.5973 0.8659 1
Mo4 Mo 0.4093 0.4274 0.3323 1
Mo5 Mo 0.4574 0.7805 0.5475 1
Mo6 Mo 0.6393 0.4640 0.6902 1
Se1 Se 0.0630 0.2295 0.3206 1
Se2 Se 0.2409 0.7534 0.2206 1
Se3 Se 0.4810 0.2682 0.9787 1
Se4 Se 0.6060 0.1418 0.4857 1
Se5 Se 0.6591 0.7945 0.8857 1
Se6 Se 0.9933 0.3814 0.8420 1
S1 S 0.1464 0.8712 0.6995 1
S2 S 0.7282 0.6239 0.3822 1
```

Main lines, sorted by position (10° ≤ 2θ ≤ 90°):
| 2theta | I/Imax |
| --- | --- |
| 13.2 | 100 |
| 13.3 | 58 |
| 31.9 | 17 |
| 32.7 | 34 |
| 39.8 | 18 |
| 42.2 | 17 |
| 43.9 | 21 |
| 44.9 | 31 |
| 45.1 | 22 |
| 49.4 | 17 |